Record 1
Simulated powder XRD pattern of KBaIrO6 for Cu Ka, from a DFT-relaxed cell (PBE, Alexandria).
Intensities are scaled so that the largest is 100.

Largest 10 diffraction maxima, in order of rising 2θ, 2θ = 5–70°:
two_theta  I_rel  hkl
16.8  36  0 2 0
24.1  100  1 1 1
29.3  40  2 0 0
38.3  27  0 4 1
46.0  33  1 3 -2
48.9  28  3 1 1
52.0  11  0 6 0
56.2  8  1 1 -3
64.0  9  3 3 2
66.3  8  4 2 1

Structure:
Cell lengths 6.1004, 10.5452, 5.1693 Å; angles 90.00, 90.03, 90.00 degrees
Space group C2 (No. 5)
One atom of each set of equivalent atoms:
K: 0.0000 0.0000 0.0000 x2
Ba: 0.0000 0.6668 0.5000 x2
Ir: 0.0000 0.3330 0.0000 x2
O: 0.1152 0.4624 0.7916 x4
O: 0.1344 0.2117 0.7897 x4
O: 0.2505 0.3266 0.2085 x4

Record 2
Simulated powder XRD pattern of Dy3TmSc2 for Cu Ka, from a DFT-relaxed cell (PBE, Alexandria).
Intensities are scaled so that the largest is 100.

Largest 10 diffraction maxima, in order of rising 2θ, 2θ = 5–70°:
two_theta  I_rel  hkl
10.5  87  2 0 -1
29.3  44  3 1 0
31.8  72  6 0 -3
32.1  46  3 1 1
32.3  100  2 0 3
33.4  87  8 0 0
33.8  55  5 1 0
38.7  32  1 1 -3
45.8  28  9 1 -2
54.5  29  0 2 0

Structure:
Cell lengths 22.5414, 3.3666, 9.8257 Å; angles 90.00, 107.94, 90.00 degrees
Space group C2/m (No. 12)
One atom of each set of equivalent atoms:
Dy: 0.0593 0.0000 0.4311 x4
Dy: 0.0702 0.5000 0.7746 x4
Dy: 0.1975 0.0000 0.7084 x4
Tm: 0.1862 0.0000 0.0435 x4
Sc: 0.0723 0.5000 0.1368 x4
Sc: 0.1917 0.0000 0.3719 x4